For Fe3O2F4, a PBE+U-relaxed structure gives the computed powder diffraction line list in this record (Cu Kα (weighted mean of Kα1 and Kα2)).
Kinematic intensities with the Lorentz-polarization factor, no thermal factor.

Structural model:
a = 5.721 Å, b = 5.721 Å, c = 7.243 Å
α = 107.12°, β = 107.12°, γ = 75.94°
Element x y z (fractional)
Fe  0.000  0.000  0.000
Fe  0.000  0.000  0.500
Fe  0.332  0.332  0.338
Fe  0.353  0.353  0.828
Fe  0.647  0.647  0.172
Fe  0.668  0.668  0.662
O  0.227  0.227  0.536
O  0.424  0.424  0.126
O  0.576  0.576  0.874
O  0.773  0.773  0.464
F  0.038  0.630  0.829
F  0.105  0.105  0.800
F  0.293  0.707  0.500
F  0.370  0.962  0.171
F  0.630  0.038  0.829
F  0.707  0.293  0.500
F  0.895  0.895  0.200
F  0.962  0.370  0.171

Top 10 peaks for 10° ≤ 2θ ≤ 90°, sorted by position:
2θ (°)	Rel. int.
25.3	100.0
27.1	94.0
34.6	51.2
34.7	53.0
50.8	32.8
50.9	33.1
52.0	23.4
52.8	26.1
53.1	28.4
65.9	21.6

For Fe4O7F, a PBE+U-relaxed structure gives the computed powder diffraction line list in this record (Cu Kα (weighted mean of Kα1 and Kα2)).
Kinematic intensities with the Lorentz-polarization factor, no thermal factor.

Structural model:
a = 4.620 Å, b = 4.619 Å, c = 12.008 Å
α = 90.00°, β = 90.03°, γ = 90.00°
Element x y z (fractional)
Fe  0.228  0.000  0.311
Fe  0.245  0.974  0.818
Fe  0.246  0.972  0.558
Fe  0.251  0.977  0.063
Fe  0.749  0.477  0.937
Fe  0.754  0.472  0.442
Fe  0.755  0.474  0.182
Fe  0.772  0.500  0.689
O  0.049  0.787  0.432
O  0.055  0.791  0.187
O  0.056  0.783  0.942
O  0.073  0.798  0.689
O  0.437  0.173  0.187
O  0.438  0.174  0.435
O  0.443  0.170  0.939
O  0.557  0.670  0.061
O  0.562  0.674  0.565
O  0.563  0.673  0.813
O  0.927  0.298  0.311
O  0.944  0.283  0.058
O  0.945  0.291  0.813
O  0.951  0.287  0.568
F  0.455  0.181  0.689
F  0.545  0.681  0.311

Top 10 peaks for 10° ≤ 2θ ≤ 90°, sorted by position:
2θ (°)	Rel. int.
27.3	100.0
35.7	52.6
39.0	10.5
40.8	13.6
53.9	58.6
56.3	16.1
61.8	8.0
63.7	9.2
68.5	20.2
68.8	11.2

For Fe4O7F, a PBE+U-relaxed structure gives the computed powder diffraction line list in this record (Cu Kα (weighted mean of Kα1 and Kα2)).
Kinematic intensities with the Lorentz-polarization factor, no thermal factor.

Structural model:
a = 7.090 Å, b = 7.090 Å, c = 6.636 Å
α = 90.00°, β = 90.00°, γ = 129.67°
Element x y z (fractional)
Fe  0.124  0.876  0.500
Fe  0.134  0.385  0.472
Fe  0.374  0.626  0.973
Fe  0.385  0.134  0.972
Fe  0.615  0.866  0.472
Fe  0.626  0.374  0.473
Fe  0.866  0.615  0.972
Fe  0.876  0.124  0.000
O  0.030  0.473  0.979
O  0.124  0.876  0.797
O  0.224  0.281  0.979
O  0.281  0.224  0.479
O  0.373  0.627  0.667
O  0.374  0.626  0.276
O  0.473  0.030  0.479
O  0.527  0.970  0.979
O  0.626  0.374  0.776
O  0.627  0.373  0.167
O  0.719  0.776  0.979
O  0.776  0.719  0.479
O  0.876  0.124  0.297
O  0.970  0.527  0.479
F  0.124  0.876  0.181
F  0.876  0.124  0.681

Top 10 peaks for 10° ≤ 2θ ≤ 90°, sorted by position:
2θ (°)	Rel. int.
26.9	93.8
27.8	91.2
35.6	100.0
39.1	19.0
53.3	55.9
54.4	53.4
55.4	15.5
57.4	14.8
61.5	15.3
68.5	37.3

For Fe5O8F2, a PBE+U-relaxed structure gives the computed powder diffraction line list in this record (Cu Kα (weighted mean of Kα1 and Kα2)).
Kinematic intensities with the Lorentz-polarization factor, no thermal factor.

Structural model:
a = 4.649 Å, b = 5.549 Å, c = 12.959 Å
α = 102.20°, β = 90.42°, γ = 91.31°
Element x y z (fractional)
Fe  0.000  0.000  0.000
Fe  0.002  0.171  0.795
Fe  0.022  0.575  0.389
Fe  0.028  0.769  0.189
Fe  0.482  0.101  0.397
Fe  0.492  0.891  0.600
Fe  0.505  0.294  0.192
Fe  0.525  0.472  0.991
Fe  0.537  0.689  0.791
Fe  0.991  0.381  0.587
O  0.201  0.638  0.527
O  0.201  0.838  0.331
O  0.202  0.239  0.935
O  0.205  0.037  0.132
O  0.310  0.939  0.738
O  0.312  0.143  0.536
O  0.319  0.336  0.324
O  0.325  0.539  0.126
O  0.702  0.427  0.854
O  0.702  0.633  0.652
O  0.704  0.231  0.060
O  0.812  0.330  0.447
O  0.814  0.930  0.865
O  0.815  0.132  0.656
O  0.820  0.529  0.254
O  0.823  0.730  0.053
F  0.203  0.447  0.735
F  0.313  0.738  0.932
F  0.702  0.835  0.453
F  0.704  0.020  0.253

Top 10 peaks for 10° ≤ 2θ ≤ 90°, sorted by position:
2θ (°)	Rel. int.
26.8	100.0
27.5	98.7
35.4	53.6
35.4	52.4
38.8	19.7
53.0	30.3
53.2	29.2
53.9	57.4
61.2	16.4
67.9	25.9

For Fe6O7F5, a PBE+U-relaxed structure gives the computed powder diffraction line list in this record (Cu Kα (weighted mean of Kα1 and Kα2)).
Kinematic intensities with the Lorentz-polarization factor, no thermal factor.

Structural model:
a = 4.776 Å, b = 5.678 Å, c = 7.739 Å
α = 83.98°, β = 87.34°, γ = 86.20°
Element x y z (fractional)
Fe  0.000  0.000  0.000
Fe  0.002  0.662  0.350
Fe  0.497  0.502  0.013
Fe  0.550  0.841  0.689
Fe  0.561  0.190  0.342
Fe  0.968  0.331  0.676
O  0.314  0.471  0.235
O  0.314  0.791  0.917
O  0.699  0.534  0.795
O  0.702  0.876  0.446
O  0.704  0.218  0.102
O  0.820  0.379  0.448
O  0.823  0.036  0.779
F  0.182  0.963  0.237
F  0.201  0.626  0.579
F  0.204  0.293  0.902
F  0.313  0.138  0.577
F  0.810  0.710  0.115

Top 10 peaks for 10° ≤ 2θ ≤ 90°, sorted by position:
2θ (°)	Rel. int.
25.4	100.0
27.4	90.2
35.0	91.4
39.2	18.3
51.2	44.2
52.1	14.8
53.5	37.4
56.6	14.9
61.1	15.1
66.2	21.1

For Fe10O11F9, a PBE+U-relaxed structure gives the computed powder diffraction line list in this record (Cu Kα (weighted mean of Kα1 and Kα2)).
Kinematic intensities with the Lorentz-polarization factor, no thermal factor.

Structural model:
a = 4.708 Å, b = 4.711 Å, c = 15.438 Å
α = 90.36°, β = 90.02°, γ = 90.43°
Element x y z (fractional)
Fe  0.000  0.000  0.000
Fe  0.000  0.047  0.596
Fe  0.015  0.013  0.205
Fe  0.027  0.017  0.797
Fe  0.463  0.520  0.693
Fe  0.488  0.542  0.295
Fe  0.505  0.585  0.097
Fe  0.509  0.587  0.895
Fe  0.533  0.574  0.510
Fe  0.993  0.037  0.393
O  0.181  0.217  0.696
O  0.200  0.235  0.302
O  0.298  0.742  0.597
O  0.311  0.722  0.794
O  0.315  0.729  0.200
O  0.324  0.744  0.997
O  0.697  0.344  0.599
O  0.801  0.836  0.302
O  0.822  0.848  0.102
O  0.822  0.869  0.497
O  0.825  0.850  0.896
F  0.209  0.254  0.493
F  0.212  0.241  0.100
F  0.216  0.241  0.898
F  0.317  0.740  0.402
F  0.697  0.360  0.401
F  0.702  0.335  0.798
F  0.704  0.340  0.198
F  0.714  0.347  0.999
F  0.796  0.834  0.698

Top 10 peaks for 10° ≤ 2θ ≤ 90°, sorted by position:
2θ (°)	Rel. int.
26.7	100.0
26.9	97.5
34.6	26.8
34.7	53.5
34.8	25.4
52.4	28.8
52.6	30.2
52.6	29.2
52.8	26.2
66.9	26.2

For Fe2OF3, a PBE+U-relaxed structure gives the computed powder diffraction line list in this record (Cu Kα (weighted mean of Kα1 and Kα2)).
Kinematic intensities with the Lorentz-polarization factor, no thermal factor.

Structural model:
a = 3.106 Å, b = 9.689 Å, c = 4.851 Å
α = 90.00°, β = 90.00°, γ = 90.00°
Element x y z (fractional)
Fe  0.000  0.130  0.000
Fe  0.000  0.638  0.055
Fe  0.500  0.362  0.555
Fe  0.500  0.870  0.500
O  0.000  0.284  0.715
O  0.500  0.716  0.215
F  0.000  0.471  0.327
F  0.000  0.768  0.725
F  0.000  0.980  0.317
F  0.500  0.020  0.817
F  0.500  0.232  0.225
F  0.500  0.529  0.827

Top 10 peaks for 10° ≤ 2θ ≤ 90°, sorted by position:
2θ (°)	Rel. int.
26.0	100.0
34.3	54.4
39.1	19.1
41.7	8.2
51.4	60.2
53.5	18.6
59.5	9.5
60.4	8.5
65.1	20.7
66.0	11.8

For Fe2OF3, a PBE+U-relaxed structure gives the computed powder diffraction line list in this record (Cu Kα (weighted mean of Kα1 and Kα2)).
Kinematic intensities with the Lorentz-polarization factor, no thermal factor.

Structural model:
a = 5.777 Å, b = 4.743 Å, c = 10.766 Å
α = 90.00°, β = 97.35°, γ = 90.00°
Element x y z (fractional)
Fe  0.000  0.000  0.000
Fe  0.000  0.500  0.500
Fe  0.244  0.024  0.733
Fe  0.244  0.476  0.233
Fe  0.500  0.000  0.500
Fe  0.500  0.500  0.000
Fe  0.756  0.524  0.767
Fe  0.756  0.976  0.267
O  0.222  0.193  0.578
O  0.222  0.307  0.078
O  0.778  0.693  0.922
O  0.778  0.807  0.422
F  0.017  0.706  0.686
F  0.017  0.794  0.186
F  0.282  0.683  0.404
F  0.282  0.817  0.904
F  0.484  0.210  0.318
F  0.484  0.290  0.818
F  0.516  0.710  0.182
F  0.516  0.790  0.682
F  0.718  0.183  0.096
F  0.718  0.317  0.596
F  0.983  0.206  0.814
F  0.983  0.294  0.314

Top 10 peaks for 10° ≤ 2θ ≤ 90°, sorted by position:
2θ (°)	Rel. int.
26.4	100.0
33.6	27.7
33.7	27.8
38.7	17.7
51.3	31.0
51.5	30.7
54.4	18.4
64.2	11.3
65.1	11.0
65.8	10.3

For Fe6O7F5, a PBE+U-relaxed structure gives the computed powder diffraction line list in this record (Cu Kα (weighted mean of Kα1 and Kα2)).
Kinematic intensities with the Lorentz-polarization factor, no thermal factor.

Structural model:
a = 4.763 Å, b = 4.763 Å, c = 9.114 Å
α = 90.19°, β = 90.19°, γ = 85.96°
Element x y z (fractional)
Fe  0.000  0.000  0.000
Fe  0.030  0.043  0.325
Fe  0.490  0.496  0.173
Fe  0.504  0.510  0.827
Fe  0.529  0.471  0.500
Fe  0.957  0.970  0.675
O  0.187  0.802  0.842
O  0.198  0.813  0.158
O  0.322  0.314  0.334
O  0.686  0.678  0.666
O  0.798  0.190  0.844
O  0.810  0.202  0.156
O  0.824  0.176  0.500
F  0.208  0.792  0.500
F  0.306  0.295  0.667
F  0.308  0.313  0.998
F  0.687  0.692  0.002
F  0.705  0.694  0.333

Top 10 peaks for 10° ≤ 2θ ≤ 90°, sorted by position:
2θ (°)	Rel. int.
25.6	100.0
27.5	92.7
35.0	46.1
35.1	49.3
51.4	27.5
51.6	30.9
53.6	25.4
53.7	25.9
66.5	17.7
66.7	20.6

For Fe2OF3, a PBE+U-relaxed structure gives the computed powder diffraction line list in this record (Cu Kα (weighted mean of Kα1 and Kα2)).
Kinematic intensities with the Lorentz-polarization factor, no thermal factor.

Structural model:
a = 5.737 Å, b = 5.752 Å, c = 5.755 Å
α = 105.90°, β = 109.74°, γ = 112.74°
Element x y z (fractional)
Fe  0.000  0.000  0.000
Fe  0.211  0.748  0.463
Fe  0.433  0.507  0.926
Fe  0.716  0.256  0.461
O  0.159  0.522  0.638
O  0.266  0.987  0.278
F  0.198  0.431  0.154
F  0.199  0.046  0.767
F  0.667  0.989  0.678
F  0.732  0.969  0.158
F  0.733  0.575  0.764
F  0.760  0.521  0.239

Top 10 peaks for 10° ≤ 2θ ≤ 90°, sorted by position:
2θ (°)	Rel. int.
25.7	94.9
27.0	81.3
33.8	100.0
38.4	16.8
39.3	19.5
50.7	48.7
52.1	30.8
52.8	18.7
58.0	17.8
65.4	17.7